Record 1
ThFe2SiGe2: calculated PXRD pattern (Cu Kα, 1.54184 Å), based on a structure optimized by DFT (GGA-PBE).
Peak positions follow from Bragg's law for the DFT cell and can differ from measured ones.

Atomic structure:
abc: 4.288 4.288 5.656
angles: 90.00 90.00 90.00
Sites, in units of the cell vectors:
Th 0.000 0.000 0.000
Fe 0.000 0.500 0.500
Fe 0.500 0.000 0.500
Si 0.000 0.000 0.500
Ge 0.500 0.500 0.239
Ge 0.500 0.500 0.761

Most intense lines, 10 to 90 degrees two-theta, by intensity:
- 2θ 38.12, rel. 100.0
- 2θ 33.53, rel. 91.8
- 2θ 42.15, rel. 63.3
- 2θ 58.12, rel. 58.8
- 2θ 26.08, rel. 55.2
- 2θ 29.46, rel. 49.4



Record 2
Sm2MgPPt6: calculated PXRD pattern (Cu Kα, 1.54184 Å), based on a structure optimized by DFT (GGA-PBE).
Peak positions follow from Bragg's law for the DFT cell and can differ from measured ones.

Atomic structure:
abc: 5.602 8.675 8.259
angles: 90.00 90.00 90.00
Sites, in units of the cell vectors:
Sm 0.250 0.013 0.231
Sm 0.250 0.487 0.231
Sm 0.750 0.513 0.769
Sm 0.750 0.987 0.769
Mg 0.250 0.750 0.793
Mg 0.750 0.250 0.207
P 0.250 0.250 0.724
P 0.750 0.750 0.276
Pt 0.002 0.750 0.054
Pt 0.003 0.750 0.517
Pt 0.250 0.003 0.611
Pt 0.250 0.497 0.611
Pt 0.497 0.750 0.517
Pt 0.498 0.750 0.054
Pt 0.502 0.250 0.946
Pt 0.503 0.250 0.483
Pt 0.750 0.503 0.389
Pt 0.750 0.997 0.389
Pt 0.997 0.250 0.483
Pt 0.998 0.250 0.946

Most intense lines, 10 to 90 degrees two-theta, by intensity:
- 2θ 38.25, rel. 100.0
- 2θ 29.87, rel. 70.5
- 2θ 41.65, rel. 45.4
- 2θ 38.85, rel. 44.5
- 2θ 10.71, rel. 39.8
- 2θ 58.26, rel. 35.2



Record 3
SmY5Tm3: calculated PXRD pattern (Cu Kα, 1.54184 Å), based on a structure optimized by DFT (GGA-PBE).
Peak positions follow from Bragg's law for the DFT cell and can differ from measured ones.

Atomic structure:
abc: 8.702 8.702 11.719
angles: 107.00 107.00 45.13
Sites, in units of the cell vectors:
Sm 0.190 0.810 0.750
Sm 0.810 0.190 0.250
Y 0.021 0.413 0.765
Y 0.263 0.370 0.549
Y 0.301 0.699 0.250
Y 0.370 0.263 0.049
Y 0.413 0.021 0.265
Y 0.587 0.979 0.735
Y 0.630 0.737 0.951
Y 0.699 0.301 0.750
Y 0.737 0.630 0.451
Y 0.979 0.587 0.235
Tm 0.054 0.160 0.012
Tm 0.160 0.054 0.512
Tm 0.500 0.500 0.000
Tm 0.500 0.500 0.500
Tm 0.840 0.946 0.488
Tm 0.946 0.840 0.988

Most intense lines, 10 to 90 degrees two-theta, by intensity:
- 2θ 31.27, rel. 100.0
- 2θ 32.24, rel. 64.9
- 2θ 31.63, rel. 52.3
- 2θ 32.42, rel. 18.2
- 2θ 50.78, rel. 18.1
- 2θ 40.31, rel. 17.2



Record 4
TbY2ErSe6: calculated PXRD pattern (Cu Kα, 1.54184 Å), based on a structure optimized by DFT (GGA-PBE).
Peak positions follow from Bragg's law for the DFT cell and can differ from measured ones.

Atomic structure:
abc: 7.701 7.701 7.701
angles: 55.74 55.74 55.74
Sites, in units of the cell vectors:
Tb 0.000 0.000 0.000
Y 0.303 0.303 0.303
Y 0.804 0.804 0.804
Er 0.499 0.499 0.499
Se 0.099 0.402 0.706
Se 0.210 0.898 0.597
Se 0.402 0.706 0.099
Se 0.597 0.210 0.898
Se 0.706 0.099 0.402
Se 0.898 0.597 0.210

Most intense lines, 10 to 90 degrees two-theta, by intensity:
- 2θ 37.33, rel. 100.0
- 2θ 28.36, rel. 76.8
- 2θ 43.54, rel. 64.1
- 2θ 16.89, rel. 54.1
- 2θ 23.20, rel. 48.0
- 2θ 34.16, rel. 34.2



Record 5
Er4BiTe2: calculated PXRD pattern (Cu Kα, 1.54184 Å), based on a structure optimized by DFT (GGA-PBE).
Peak positions follow from Bragg's law for the DFT cell and can differ from measured ones.

Atomic structure:
abc: 8.216 8.216 8.216
angles: 108.89 108.89 110.63
Sites, in units of the cell vectors:
Er 0.003 0.754 0.130
Er 0.125 0.496 0.748
Er 0.127 0.375 0.130
Er 0.246 0.997 0.870
Er 0.504 0.875 0.252
Er 0.623 0.253 0.748
Er 0.625 0.873 0.870
Er 0.747 0.377 0.252
Bi 0.250 0.750 0.500
Bi 0.500 0.500 0.000
Te 0.375 0.179 0.304
Te 0.821 0.625 0.696
Te 0.875 0.071 0.696
Te 0.929 0.125 0.304

Most intense lines, 10 to 90 degrees two-theta, by intensity:
- 2θ 35.37, rel. 100.0
- 2θ 30.16, rel. 96.9
- 2θ 35.20, rel. 85.6
- 2θ 29.62, rel. 57.1
- 2θ 40.09, rel. 31.0
- 2θ 26.38, rel. 22.0



Record 6
DyYEr2Tm2: calculated PXRD pattern (Cu Kα, 1.54184 Å), based on a structure optimized by DFT (GGA-PBE).
Peak positions follow from Bragg's law for the DFT cell and can differ from measured ones.

Atomic structure:
abc: 6.495 17.503 3.360
angles: 90.00 90.00 90.00
Sites, in units of the cell vectors:
Dy 0.000 0.000 0.000
Dy 0.500 0.500 0.500
Y 0.000 0.500 0.000
Y 0.500 0.000 0.500
Er 0.231 0.316 0.000
Er 0.269 0.816 0.500
Er 0.731 0.184 0.500
Er 0.769 0.684 0.000
Tm 0.229 0.148 0.500
Tm 0.271 0.648 0.000
Tm 0.729 0.352 0.000
Tm 0.771 0.852 0.500

Most intense lines, 10 to 90 degrees two-theta, by intensity:
- 2θ 30.69, rel. 100.0
- 2θ 29.34, rel. 45.2
- 2θ 41.66, rel. 36.0
- 2θ 34.39, rel. 28.3
- 2θ 33.70, rel. 26.1
- 2θ 38.91, rel. 20.7



Record 7
La6Sm2Dy5: calculated PXRD pattern (Cu Kα, 1.54184 Å), based on a structure optimized by DFT (GGA-PBE).
Peak positions follow from Bragg's law for the DFT cell and can differ from measured ones.

Atomic structure:
abc: 11.916 20.857 3.666
angles: 90.00 90.00 90.00
Sites, in units of the cell vectors:
La 0.055 0.079 0.000
La 0.079 0.365 0.000
La 0.178 0.630 0.500
La 0.322 0.130 0.500
La 0.421 0.865 0.000
La 0.445 0.579 0.000
La 0.555 0.421 0.000
La 0.579 0.135 0.000
La 0.678 0.870 0.500
La 0.822 0.370 0.500
La 0.921 0.635 0.000
La 0.945 0.921 0.000
Sm 0.166 0.787 0.000
Sm 0.334 0.287 0.000
Sm 0.666 0.713 0.000
Sm 0.834 0.213 0.000
Dy 0.000 0.500 0.500
Dy 0.093 0.225 0.500
Dy 0.203 0.943 0.500
Dy 0.297 0.443 0.500
Dy 0.407 0.725 0.500
Dy 0.500 0.000 0.500
Dy 0.593 0.275 0.500
Dy 0.703 0.557 0.500
Dy 0.797 0.057 0.500
Dy 0.907 0.775 0.500

Most intense lines, 10 to 90 degrees two-theta, by intensity:
- 2θ 31.41, rel. 100.0
- 2θ 30.94, rel. 66.3
- 2θ 30.31, rel. 58.0
- 2θ 30.74, rel. 55.1
- 2θ 33.45, rel. 38.0
- 2θ 35.75, rel. 29.3



Record 8
La2TmTlC: calculated PXRD pattern (Cu Kα, 1.54184 Å), based on a structure optimized by DFT (GGA-PBE).
Peak positions follow from Bragg's law for the DFT cell and can differ from measured ones.

Atomic structure:
abc: 5.253 5.253 4.883
angles: 90.00 90.00 90.00
Sites, in units of the cell vectors:
La 0.000 0.500 0.000
La 0.500 0.000 0.000
Tm 0.000 0.000 0.500
Tl 0.500 0.500 0.500
C 0.000 0.000 0.000

Most intense lines, 10 to 90 degrees two-theta, by intensity:
- 2θ 30.23, rel. 100.0
- 2θ 34.14, rel. 38.9
- 2θ 58.71, rel. 31.1
- 2θ 51.08, rel. 24.9
- 2θ 36.82, rel. 15.9
- 2θ 49.05, rel. 14.0



Record 9
DyTcSb: calculated PXRD pattern (Cu Kα, 1.54184 Å), based on a structure optimized by DFT (GGA-PBE).
Peak positions follow from Bragg's law for the DFT cell and can differ from measured ones.

Atomic structure:
abc: 4.522 4.522 6.766
angles: 90.00 90.00 90.00
Sites, in units of the cell vectors:
Dy 0.250 0.250 0.209
Dy 0.750 0.750 0.791
Tc 0.250 0.750 0.500
Tc 0.750 0.250 0.500
Sb 0.250 0.250 0.725
Sb 0.750 0.750 0.275

Most intense lines, 10 to 90 degrees two-theta, by intensity:
- 2θ 38.75, rel. 100.0
- 2θ 39.87, rel. 53.3
- 2θ 71.65, rel. 32.1
- 2θ 27.91, rel. 30.7
- 2θ 57.68, rel. 24.0
- 2θ 30.93, rel. 22.0



Record 10
Ta3BRh: calculated PXRD pattern (Cu Kα, 1.54184 Å), based on a structure optimized by DFT (GGA-PBE).
Peak positions follow from Bragg's law for the DFT cell and can differ from measured ones.

Atomic structure:
abc: 4.312 4.312 4.312
angles: 90.00 90.00 90.00
Sites, in units of the cell vectors:
Ta 0.000 0.000 0.500
Ta 0.000 0.500 0.000
Ta 0.500 0.000 0.000
B 0.000 0.000 0.000
Rh 0.500 0.500 0.500

Most intense lines, 10 to 90 degrees two-theta, by intensity:
- 2θ 36.08, rel. 100.0
- 2θ 41.91, rel. 52.1
- 2θ 72.74, rel. 39.4
- 2θ 60.76, rel. 34.9
- 2θ 76.54, rel. 11.9
- 2θ 20.60, rel. 4.9